The following is a calculated powder diffractogram of Li4Mg2Al. It was derived from a PBE-relaxed structure, using a wavelength of 1.5418 Å.
Lines closer than 0.1° are merged.

Cell and atoms:
```
Li4Mg2Al
1.0
0.0000 4.0999 4.2593
4.0648 0.0000 4.2593
4.0648 4.0999 0.0000
Li Mg Al
4 2 1
Cartesian
4.0648 1.7001 4.2593
5.7468 4.0999 4.4787
2.3828 4.0999 4.4787
4.0648 6.4998 4.2593
2.0324 2.0500 2.2326
6.0971 6.1499 6.4919
4.0648 4.0999 2.2348
```

Peak list (12 most intense, 2θ = 10–90°, by angle)
| Position (°2θ) | I_rel |
| --- | --- |
| 18.57 | 52 |
| 20.86 | 45 |
| 30.98 | 35 |
| 35.22 | 11 |
| 36.24 | 10 |
| 36.48 | 10 |
| 37.64 | 100 |
| 42.45 | 18 |
| 44.18 | 15 |
| 44.58 | 15 |
| 53.47 | 14 |
| 74.47 | 12 |

***

The following is a calculated powder diffractogram of Ba6Na2PdS. It was derived from a PBE-relaxed structure, using a wavelength of 1.5418 Å.
Lines closer than 0.1° are merged.

Cell and atoms:
```
Ba6Na2PdS
1.0
-4.4946 4.4946 6.3523
4.4946 -4.4946 6.3523
4.4946 4.4946 -6.3523
Ba Na Pd S
6 2 1 1
Cartesian
0.0000 0.0000 0.0000
2.2519 2.2519 -3.1822
2.2427 -2.2427 3.1701
-2.2427 2.2427 3.1701
0.0000 0.0000 6.3396
2.2427 2.2427 3.1701
4.4946 0.0000 6.3408
0.0000 4.4946 6.3408
0.0000 0.0000 3.1705
0.0000 0.0000 9.5216
```

Peak list (12 most intense, 2θ = 10–90°, by angle)
| Position (°2θ) | I_rel |
| --- | --- |
| 13.94 | 70 |
| 24.26 | 96 |
| 28.08 | 100 |
| 31.48 | 39 |
| 40.13 | 75 |
| 42.68 | 21 |
| 47.45 | 47 |
| 49.70 | 27 |
| 63.85 | 19 |
| 65.71 | 35 |
| 72.92 | 26 |
| 78.15 | 15 |

***

The following is a calculated powder diffractogram of Rb2Ti3Cl9. It was derived from a PBE-relaxed structure, using a wavelength of 1.5418 Å.
Lines closer than 0.1° are merged.

Cell and atoms:
```
Rb2Ti3Cl9
1.0
5.3179 -8.6761 0.0000
5.3179 8.6761 0.0000
-4.1889 0.0000 8.9087
Rb Ti Cl
4 6 18
Cartesian
1.3504 5.8393 6.1318
5.0964 5.8393 2.7769
1.3504 -5.8393 6.1318
5.0964 -5.8393 2.7769
0.2052 1.5163 7.5855
3.3390 0.0000 1.1414
0.2052 -1.5163 7.5855
6.2416 1.5163 1.3232
3.1078 0.0000 7.7673
6.2416 -1.5163 1.3232
-0.7003 3.2978 6.0538
-1.8859 1.7555 8.7653
-0.7782 0.0000 6.0118
1.2919 0.0000 2.4744
5.3179 3.3394 0.0000
-1.8859 -1.7555 8.7653
2.2122 1.6539 6.2560
-0.7003 -3.2978 6.0538
4.2346 1.6539 2.6527
2.2122 -1.6539 6.2560
7.1471 3.2978 2.8549
4.2346 -1.6539 2.6527
8.3327 1.7555 0.1434
5.3179 -3.3394 0.0000
5.1549 0.0000 6.4343
7.2250 0.0000 2.8969
8.3327 -1.7555 0.1434
7.1471 -3.2978 2.8549
```

Peak list (12 most intense, 2θ = 10–90°, by angle)
| Position (°2θ) | I_rel |
| --- | --- |
| 11.47 | 89 |
| 17.89 | 76 |
| 19.69 | 50 |
| 19.93 | 86 |
| 23.75 | 98 |
| 30.09 | 71 |
| 31.57 | 88 |
| 31.88 | 53 |
| 32.12 | 100 |
| 36.39 | 92 |
| 37.02 | 58 |
| 41.94 | 62 |

***

The following is a calculated powder diffractogram of Ta3As. It was derived from a PBE-relaxed structure, using a wavelength of 1.5418 Å.
Lines closer than 0.1° are merged.

Cell and atoms:
```
Ta3As
1.0
-5.1998 5.1998 2.5727
5.1998 -5.1998 2.5727
5.1998 5.1998 -2.5727
Ta As
12 4
Cartesian
4.1921 0.8836 -0.0864
5.0453 3.6964 -1.3412
7.1757 2.2443 -0.0218
2.2443 3.2238 0.0218
0.1545 1.5033 1.2315
4.3162 -1.0077 2.6591
0.8836 6.2074 0.0864
2.9555 1.9760 2.5946
1.5033 -0.1545 3.9139
3.6964 5.3542 1.3412
-1.9760 2.9555 2.5509
1.0077 4.3162 2.4863
2.1752 -0.2644 1.3372
3.0245 5.4642 -1.2355
4.9353 3.0245 1.2355
0.2644 2.1752 3.8082
```

Peak list (12 most intense, 2θ = 10–90°, by angle)
| Position (°2θ) | I_rel |
| --- | --- |
| 35.69 | 100 |
| 36.66 | 38 |
| 37.02 | 57 |
| 38.72 | 35 |
| 39.80 | 98 |
| 42.90 | 35 |
| 44.42 | 21 |
| 44.72 | 16 |
| 63.06 | 18 |
| 63.23 | 17 |
| 65.85 | 19 |
| 74.28 | 18 |

***

The following is a calculated powder diffractogram of Tl3TeCl. It was derived from a PBE-relaxed structure, using a wavelength of 1.5418 Å.
Lines closer than 0.1° are merged.

Cell and atoms:
```
Tl3TeCl
1.0
2.2590 -6.4906 0.0000
2.2590 6.4906 0.0000
0.0000 0.0000 12.4439
Tl Te Cl
6 2 2
Cartesian
2.2590 5.6843 9.3330
2.2590 2.1620 7.1132
2.2590 2.1620 11.5527
2.2590 -2.1620 0.8912
2.2590 -2.1620 5.3308
2.2590 -5.6843 3.1110
2.2590 3.2334 3.1110
2.2590 -3.2334 9.3330
0.0000 0.0000 0.0000
0.0000 0.0000 6.2220
```

Peak list (12 most intense, 2θ = 10–90°, by angle)
| Position (°2θ) | I_rel |
| --- | --- |
| 25.31 | 64 |
| 25.48 | 100 |
| 28.42 | 40 |
| 28.56 | 87 |
| 29.47 | 58 |
| 30.04 | 86 |
| 35.72 | 26 |
| 35.98 | 34 |
| 39.91 | 39 |
| 44.33 | 30 |
| 45.90 | 53 |
| 47.95 | 37 |

***

The following is a calculated powder diffractogram of SnHgH2F8. It was derived from a PBE-relaxed structure, using a wavelength of 1.5418 Å.
Lines closer than 0.1° are merged.

Cell and atoms:
```
SnHgH2F8
1.0
4.9586 0.0000 0.0000
-1.2903 5.0097 0.0000
-0.1379 -1.3371 6.9237
Sn Hg H F
1 1 2 8
Cartesian
0.0000 0.0000 0.0000
-0.0690 -0.6686 3.4619
0.6536 2.2445 2.3772
2.8768 1.4281 4.5465
0.6544 -0.1201 5.4545
0.7129 0.9985 1.6614
0.1334 2.5278 6.9171
0.6200 2.9459 3.0829
2.9105 0.7266 3.8409
3.3970 1.1447 0.0067
2.8175 2.6740 5.2623
2.8760 3.7926 1.4692
```

Peak list (12 most intense, 2θ = 10–90°, by angle)
| Position (°2θ) | I_rel |
| --- | --- |
| 18.03 | 100 |
| 18.52 | 92 |
| 22.33 | 63 |
| 25.73 | 41 |
| 28.58 | 33 |
| 29.17 | 33 |
| 32.92 | 24 |
| 35.90 | 35 |
| 36.53 | 27 |
| 37.29 | 23 |
| 42.45 | 24 |
| 45.57 | 25 |

***

The following is a calculated powder diffractogram of K2SnH6O6. It was derived from a PBE-relaxed structure, using a wavelength of 1.5418 Å.
Lines closer than 0.1° are merged.

Cell and atoms:
```
K2SnH6O6
1.0
3.4398 1.9860 4.0101
-3.4398 1.9860 4.0101
0.0000 -3.9720 4.0101
K Sn H O
2 1 6 6
Cartesian
0.0000 0.0000 2.3919
0.0000 0.0000 9.6383
0.0000 0.0000 6.0151
-1.9390 0.4999 4.3086
0.5366 -1.9292 4.3086
-1.4024 -1.4293 7.7216
1.4024 1.4293 4.3086
-0.5366 1.9292 7.7216
1.9390 -0.4999 7.7216
-0.2905 -1.7042 4.8153
-1.3306 1.1037 4.8153
-1.6211 -0.6005 7.2149
1.6211 0.6005 4.8153
1.3306 -1.1037 7.2149
0.2905 1.7042 7.2149
```

Peak list (12 most intense, 2θ = 10–90°, by angle)
| Position (°2θ) | I_rel |
| --- | --- |
| 16.60 | 88 |
| 20.99 | 30 |
| 22.17 | 27 |
| 25.90 | 72 |
| 30.92 | 18 |
| 34.35 | 100 |
| 42.72 | 31 |
| 45.68 | 18 |
| 51.34 | 29 |
| 52.85 | 20 |
| 53.26 | 21 |
| 77.12 | 17 |

***

The following is a calculated powder diffractogram of NdDyHo6. It was derived from a PBE-relaxed structure, using a wavelength of 1.5418 Å.
Lines closer than 0.1° are merged.

Cell and atoms:
```
NdDyHo6
1.0
4.7999 2.7712 3.2606
-4.7999 2.7712 3.2606
0.0000 -5.5424 3.2606
Nd Dy Ho
1 1 6
Cartesian
0.0000 0.0000 0.0000
0.0000 0.0000 4.8909
-1.9592 -2.7621 4.0670
-3.3717 0.3157 5.7148
-1.4124 3.0778 4.0670
1.4124 -3.0778 5.7148
3.3717 -0.3157 4.0670
1.9593 2.7621 5.7148
```

Peak list (12 most intense, 2θ = 10–90°, by angle)
| Position (°2θ) | I_rel |
| --- | --- |
| 28.17 | 31 |
| 29.87 | 23 |
| 32.30 | 100 |
| 33.22 | 94 |
| 33.91 | 25 |
| 47.02 | 26 |
| 51.42 | 18 |
| 54.71 | 12 |
| 57.61 | 11 |
| 58.22 | 31 |
| 59.92 | 16 |
| 80.51 | 11 |